Record 1
For TiBeCu, the GGA-PBE geometry in Alexandria gives the simulated X-ray diffraction stick pattern in this record (Cu Kα, 1.54184 Å).

Cell and atoms:
```
TiBeCu
1.0
11.0418 0.0000 0.0000
0.0000 3.2357 0.0000
0.0000 0.0000 6.2139
Ti Be Cu
6 6 6
direct
0.0404 0.0000 0.2439 Ti
0.2500 0.0000 0.8549 Ti
0.4596 0.0000 0.2439 Ti
0.5404 0.0000 0.7561 Ti
0.7500 0.0000 0.1451 Ti
0.9596 0.0000 0.7561 Ti
0.0919 0.5000 0.9520 Be
0.2500 0.0000 0.4418 Be
0.4081 0.5000 0.9520 Be
0.5919 0.5000 0.0480 Be
0.7500 0.0000 0.5582 Be
0.9081 0.5000 0.0480 Be
0.1212 0.5000 0.5719 Cu
0.2500 0.5000 0.1975 Cu
0.3788 0.5000 0.5719 Cu
0.6212 0.5000 0.4281 Cu
0.7500 0.5000 0.8025 Cu
0.8788 0.5000 0.4281 Cu
```

Peak list (12 most intense, 2θ from 10° to 80°, sorted by position)
| Position (°2θ) | Rel. int. |
| --- | --- |
| 14.3 | 25 |
| 31.2 | 30 |
| 35.6 | 40 |
| 39.8 | 100 |
| 40.2 | 21 |
| 41.1 | 52 |
| 43.1 | 27 |
| 43.5 | 51 |
| 43.9 | 34 |
| 44.5 | 23 |
| 45.6 | 19 |
| 56.9 | 24 |

---

Record 2
For TiBe9Cu2, the GGA-PBE geometry in Alexandria gives the simulated X-ray diffraction stick pattern in this record (Cu Kα, 1.54184 Å).

Cell and atoms:
```
TiBe9Cu2
1.0
2.1536 1.2434 6.8799
-2.1536 1.2434 6.8799
0.0000 -2.4868 6.8799
Ti Be Cu
1 9 2
direct
0.0000 0.0000 0.0000 Ti
0.0836 0.5845 0.5845 Be
0.3324 0.3324 0.3324 Be
0.4155 0.4155 0.9164 Be
0.4155 0.9164 0.4155 Be
0.5000 0.5000 0.5000 Be
0.5845 0.0836 0.5845 Be
0.5845 0.5845 0.0836 Be
0.6676 0.6676 0.6676 Be
0.9164 0.4155 0.4155 Be
0.1427 0.1427 0.1427 Cu
0.8573 0.8573 0.8573 Cu
```

Peak list (12 most intense, 2θ from 10° to 80°, sorted by position)
| Position (°2θ) | Rel. int. |
| --- | --- |
| 12.9 | 53 |
| 24.2 | 100 |
| 25.9 | 31 |
| 29.5 | 25 |
| 38.9 | 81 |
| 42.0 | 70 |
| 42.6 | 35 |
| 44.1 | 17 |
| 49.0 | 27 |
| 50.0 | 58 |
| 58.6 | 14 |
| 74.6 | 20 |

---

Record 3
For TiBe2Cu, the GGA-PBE geometry in Alexandria gives the simulated X-ray diffraction stick pattern in this record (Cu Kα, 1.54184 Å).

Cell and atoms:
```
TiBe2Cu
1.0
4.2757 0.0000 0.0000
0.0000 3.5141 0.0000
0.0000 0.0000 5.9331
Ti Be Cu
2 4 2
direct
0.2500 0.0000 0.1801 Ti
0.7500 0.0000 0.8199 Ti
0.0000 0.5000 0.5000 Be
0.2500 0.0000 0.5975 Be
0.5000 0.5000 0.5000 Be
0.7500 0.0000 0.4025 Be
0.2500 0.5000 0.8594 Cu
0.7500 0.5000 0.1406 Cu
```

Peak list (12 most intense, 2θ from 10° to 80°, sorted by position)
| Position (°2θ) | Rel. int. |
| --- | --- |
| 14.9 | 66 |
| 36.4 | 100 |
| 42.3 | 25 |
| 45.1 | 13 |
| 45.3 | 73 |
| 45.9 | 18 |
| 52.0 | 16 |
| 64.1 | 9 |
| 69.2 | 10 |
| 71.9 | 8 |
| 73.5 | 11 |
| 79.4 | 12 |

---

Record 4
For BeTl4Cu, the GGA-PBE geometry in Alexandria gives the simulated X-ray diffraction stick pattern in this record (Cu Kα, 1.54184 Å).

Cell and atoms:
```
BeTl4Cu
1.0
0.0000 4.4488 4.4488
4.4488 0.0000 4.4488
4.4488 4.4488 0.0000
Be Tl Cu
1 4 1
direct
0.0000 0.0000 0.0000 Be
0.3751 0.3751 0.3751 Tl
0.3751 0.3751 0.8748 Tl
0.3751 0.8748 0.3751 Tl
0.8748 0.3751 0.3751 Tl
0.7500 0.7500 0.7500 Cu
```

Peak list (12 most intense, 2θ from 10° to 80°, sorted by position)
| Position (°2θ) | Rel. int. |
| --- | --- |
| 17.3 | 96 |
| 33.4 | 100 |
| 34.9 | 92 |
| 40.6 | 37 |
| 44.4 | 27 |
| 53.5 | 35 |
| 58.7 | 37 |
| 61.7 | 21 |
| 69.2 | 12 |
| 70.2 | 37 |
| 73.8 | 9 |
| 76.5 | 11 |

---

Record 5
For TmBe3Cu10, the GGA-PBE geometry in Alexandria gives the simulated X-ray diffraction stick pattern in this record (Cu Kα, 1.54184 Å).

Cell and atoms:
```
TmBe3Cu10
1.0
0.0000 5.6098 5.6098
5.6098 0.0000 5.6098
5.6098 5.6098 0.0000
Tm Be Cu
2 6 20
direct
0.2500 0.2500 0.2500 Tm
0.7500 0.7500 0.7500 Tm
0.2363 0.2363 0.7637 Be
0.2363 0.7637 0.2363 Be
0.2363 0.7637 0.7637 Be
0.7637 0.2363 0.2363 Be
0.7637 0.2363 0.7637 Be
0.7637 0.7637 0.2363 Be
0.1118 0.1118 0.1118 Cu
0.1118 0.1118 0.6647 Cu
0.1118 0.6647 0.1118 Cu
0.1551 0.5000 0.5000 Cu
0.1551 0.5000 0.8449 Cu
0.1551 0.8449 0.5000 Cu
0.3353 0.8882 0.8882 Cu
0.5000 0.1551 0.5000 Cu
0.5000 0.1551 0.8449 Cu
0.5000 0.5000 0.1551 Cu
0.5000 0.5000 0.8449 Cu
0.5000 0.8449 0.1551 Cu
0.5000 0.8449 0.5000 Cu
0.6647 0.1118 0.1118 Cu
0.8449 0.1551 0.5000 Cu
0.8449 0.5000 0.1551 Cu
0.8449 0.5000 0.5000 Cu
0.8882 0.3353 0.8882 Cu
0.8882 0.8882 0.3353 Cu
0.8882 0.8882 0.8882 Cu
```

Peak list (12 most intense, 2θ from 10° to 80°, sorted by position)
| Position (°2θ) | Rel. int. |
| --- | --- |
| 15.8 | 33 |
| 35.8 | 100 |
| 39.3 | 54 |
| 41.8 | 94 |
| 45.7 | 32 |
| 48.0 | 41 |
| 51.5 | 6 |
| 54.2 | 28 |
| 69.0 | 29 |
| 71.3 | 40 |
| 73.0 | 9 |
| 77.5 | 10 |

---

Record 6
For TmZrBeCu, the GGA-PBE geometry in Alexandria gives the simulated X-ray diffraction stick pattern in this record (Cu Kα, 1.54184 Å).

Cell and atoms:
```
TmZrBeCu
1.0
0.0000 3.3125 3.3125
3.3125 0.0000 3.3125
3.3125 3.3125 0.0000
Tm Zr Be Cu
1 1 1 1
direct
0.0000 0.0000 0.0000 Tm
0.5000 0.5000 0.5000 Zr
0.2500 0.2500 0.2500 Be
0.7500 0.7500 0.7500 Cu
```

Peak list (10 most intense, 2θ from 10° to 80°, sorted by position)
| Position (°2θ) | Rel. int. |
| --- | --- |
| 23.3 | 20 |
| 26.9 | 39 |
| 38.4 | 100 |
| 45.4 | 11 |
| 47.5 | 11 |
| 55.5 | 17 |
| 61.0 | 4 |
| 62.7 | 15 |
| 69.5 | 34 |
| 74.4 | 3 |

---

Record 7
For U2Be25Cu, the GGA-PBE geometry in Alexandria gives the simulated X-ray diffraction stick pattern in this record (Cu Kα, 1.54184 Å).

Cell and atoms:
```
U2Be25Cu
1.0
0.0000 5.1250 5.1250
5.1250 0.0000 5.1250
5.1250 5.1250 0.0000
U Be Cu
2 25 1
direct
0.2500 0.2500 0.2500 U
0.7500 0.7500 0.7500 U
0.0000 0.0000 0.0000 Be
0.0633 0.2863 0.9367 Be
0.0633 0.7137 0.2863 Be
0.0633 0.9367 0.7137 Be
0.1956 0.4418 0.5582 Be
0.1956 0.5582 0.8044 Be
0.1956 0.8044 0.4418 Be
0.2863 0.0633 0.7137 Be
0.2863 0.7137 0.9367 Be
0.2863 0.9367 0.0633 Be
0.4418 0.1956 0.8044 Be
0.4418 0.5582 0.1956 Be
0.4418 0.8044 0.5582 Be
0.5582 0.1956 0.4418 Be
0.5582 0.4418 0.8044 Be
0.5582 0.8044 0.1956 Be
0.7137 0.0633 0.9367 Be
0.7137 0.2863 0.0633 Be
0.7137 0.9367 0.2863 Be
0.8044 0.1956 0.5582 Be
0.8044 0.4418 0.1956 Be
0.8044 0.5582 0.4418 Be
0.9367 0.0633 0.2863 Be
0.9367 0.2863 0.7137 Be
0.9367 0.7137 0.0633 Be
0.5000 0.5000 0.5000 Cu
```

Peak list (12 most intense, 2θ from 10° to 80°, sorted by position)
| Position (°2θ) | Rel. int. |
| --- | --- |
| 17.3 | 53 |
| 24.6 | 100 |
| 30.2 | 24 |
| 35.0 | 22 |
| 39.3 | 40 |
| 43.2 | 57 |
| 50.4 | 14 |
| 53.7 | 15 |
| 56.8 | 24 |
| 68.5 | 28 |
| 76.7 | 13 |
| 79.3 | 13 |

---

Record 8
For Be16V2Cu, the GGA-PBE geometry in Alexandria gives the simulated X-ray diffraction stick pattern in this record (Cu Kα, 1.54184 Å).

Cell and atoms:
```
Be16V2Cu
1.0
3.6466 2.1054 3.5556
-3.6466 2.1054 3.5556
0.0000 -4.2108 3.5556
Be V Cu
16 2 1
direct
0.0480 0.0480 0.0480 Be
0.1532 0.1532 0.6581 Be
0.1532 0.6581 0.1532 Be
0.1557 0.4586 0.8519 Be
0.1557 0.8519 0.4586 Be
0.3172 0.8068 0.8068 Be
0.4586 0.1557 0.8519 Be
0.4586 0.8519 0.1557 Be
0.5050 0.5050 0.9899 Be
0.5050 0.9899 0.5050 Be
0.6581 0.1532 0.1532 Be
0.8068 0.3172 0.8068 Be
0.8068 0.8068 0.3172 Be
0.8519 0.1557 0.4586 Be
0.8519 0.4586 0.1557 Be
0.9899 0.5050 0.5050 Be
0.4985 0.4985 0.4985 V
0.8176 0.8176 0.8176 V
0.2510 0.2510 0.2510 Cu
```

Peak list (12 most intense, 2θ from 10° to 80°, sorted by position)
| Position (°2θ) | Rel. int. |
| --- | --- |
| 16.3 | 16 |
| 21.8 | 22 |
| 24.4 | 100 |
| 25.0 | 14 |
| 35.3 | 44 |
| 36.6 | 26 |
| 43.0 | 40 |
| 44.5 | 20 |
| 50.0 | 31 |
| 50.4 | 29 |
| 51.4 | 24 |
| 73.7 | 16 |